This entry pairs a crystal structure of Ca4AgHg7 with its theoretical powder diffractogram. Radiation: Cu Kα. Structure: a structure optimized by DFT (GGA-PBE).
No peak broadening, texture or thermal motion is included.

Structural model:
```
data_Ca4AgHg7
_cell_length_a 5.5590
_cell_length_b 7.6934
_cell_length_c 8.4310
_cell_angle_alpha 116.96
_cell_angle_beta 103.45
_cell_angle_gamma 90.68
_space_group_name_H-M_alt 'P 1'
_space_group_IT_number 1
loop_
_space_group_symop_operation_xyz
'x,y,z'
loop_
_atom_site_label
_atom_site_fract_x
_atom_site_fract_y
_atom_site_fract_z
Ca1 0.1569 0.1826 0.2412
Ca2 0.3422 0.4398 0.7576
Ca3 0.6578 0.5602 0.2424
Ca4 0.8431 0.8174 0.7588
Ag1 0.5000 0.0000 0.5000
Hg1 0.0000 0.0000 0.5000
Hg2 0.1168 0.7093 0.1036
Hg3 0.2552 0.6445 0.5006
Hg4 0.3909 0.1068 0.8979
Hg5 0.6091 0.8932 0.1021
Hg6 0.7448 0.3555 0.4994
Hg7 0.8832 0.2907 0.8964
```

Most intense lines, 15 to 90 degrees two-theta, in order of falling intensity:
33.1 deg, intensity 100
32.8 deg, intensity 60
35.6 deg, intensity 56
19.9 deg, intensity 50
24.6 deg, intensity 43
21.7 deg, intensity 38
37.5 deg, intensity 37
37.7 deg, intensity 36
34.8 deg, intensity 31
38.9 deg, intensity 30